Record 1
Theoretical powder X-ray diffraction pattern
Compound: Sr3Sn4Ir4
Radiation: CuKα
Structure: a cell relaxed with GGA-PBE

Main lines, sorted by position (2θ = 15–90°):
| 2theta | I/Imax |
| --- | --- |
| 15.3 | 100 |
| 30.9 | 46 |
| 34.7 | 86 |
| 41.3 | 78 |
| 47.1 | 60 |
| 71.0 | 29 |
| 77.4 | 24 |
| 87.7 | 24 |

Cell and atoms:
```
Sr3Sn4Ir4
1.0
-4.090 4.090 4.090
4.090 -4.090 4.090
4.090 4.090 -4.090
Sr Sn Ir
3 4 4
Cartesian
4.090 0.000 0.000
0.000 4.090 0.000
0.000 0.000 4.090
2.511 2.511 -2.511
2.511 -2.511 2.511
1.579 1.579 1.579
-2.511 2.511 2.511
1.019 1.019 7.161
1.019 -1.019 1.019
-1.019 1.019 1.019
3.071 3.071 3.071
```

***

Record 2
Theoretical powder X-ray diffraction pattern
Compound: Hg2P4PdO8
Radiation: CuKα
Structure: a cell relaxed with GGA-PBE

Main lines, sorted by position (2θ = 15–90°):
| 2theta | I/Imax |
| --- | --- |
| 19.2 | 100 |
| 20.5 | 41 |
| 22.0 | 36 |
| 23.3 | 21 |
| 26.0 | 16 |
| 33.4 | 21 |
| 38.5 | 22 |
| 39.0 | 30 |

Cell and atoms:
```
Hg2P4PdO8
1.0
0.000 7.250 7.954
6.131 0.000 7.954
6.131 7.250 0.000
Hg P Pd O
4 8 2 16
Cartesian
0.000 0.000 0.000
3.065 3.625 0.000
3.065 0.000 3.977
0.000 3.625 3.977
6.111 3.952 6.907
6.111 6.924 5.023
3.086 3.952 5.023
9.176 7.577 9.000
3.086 6.924 6.907
9.176 10.549 10.884
6.151 7.577 10.884
6.151 10.549 9.000
4.598 5.438 5.965
7.664 9.063 9.942
6.134 2.463 6.860
7.438 6.273 4.522
7.438 4.603 7.409
9.200 6.088 9.047
3.062 2.463 5.070
10.504 8.228 8.498
6.134 8.413 5.070
1.758 4.603 4.522
10.504 9.898 11.386
6.127 6.088 10.837
1.758 6.273 7.409
9.200 12.038 10.837
3.062 8.413 6.860
4.823 9.898 8.498
4.823 8.228 11.386
6.127 12.038 9.047
```

***

Record 3
Theoretical powder X-ray diffraction pattern
Compound: HoGeIr
Radiation: CuKα
Structure: a cell relaxed with GGA-PBE

Main lines, sorted by position (2θ = 15–90°):
| 2theta | I/Imax |
| --- | --- |
| 34.0 | 87 |
| 35.2 | 36 |
| 35.5 | 100 |
| 41.2 | 81 |
| 41.3 | 46 |
| 42.0 | 56 |
| 60.3 | 30 |
| 67.6 | 41 |

Cell and atoms:
```
HoGeIr
1.0
6.849 0.000 0.000
0.000 4.305 0.000
0.000 0.000 7.628
Ho Ge Ir
4 4 4
Cartesian
0.039 1.076 1.477
3.385 3.229 5.290
3.463 1.076 2.337
6.810 3.229 6.151
1.443 3.229 2.978
1.981 1.076 6.792
4.867 3.229 0.836
5.406 1.076 4.649
1.092 1.076 4.315
2.332 3.229 0.501
4.516 1.076 7.126
5.757 3.229 3.313
```

***

Record 4
Theoretical powder X-ray diffraction pattern
Compound: NaCaMgAlSi4O12
Radiation: CuKα
Structure: a cell relaxed with GGA-PBE

Main lines, sorted by position (2θ = 15–90°):
| 2theta | I/Imax |
| --- | --- |
| 27.9 | 19 |
| 29.8 | 100 |
| 30.7 | 66 |
| 35.1 | 22 |
| 35.4 | 39 |
| 36.2 | 37 |
| 42.4 | 25 |
| 44.7 | 20 |

Cell and atoms:
```
NaCaMgAlSi4O12
1.0
4.849 -4.425 0.000
4.849 4.425 0.000
-1.590 0.000 5.076
Na Ca Mg Al Si O
1 1 1 1 4 12
Cartesian
0.000 0.000 0.000
4.054 -0.889 2.538
4.849 0.977 0.000
4.054 2.648 2.538
1.212 0.939 2.628
1.228 -1.840 4.929
6.896 0.939 2.448
6.881 -1.840 0.147
3.566 2.505 0.704
0.610 -0.514 2.274
2.796 1.069 3.030
4.542 2.505 4.372
3.387 -0.414 0.310
5.312 1.069 2.046
2.266 -2.531 3.811
2.958 -2.754 1.267
4.722 -0.414 4.766
7.498 -0.514 2.802
5.842 -2.531 1.265
5.150 -2.754 3.809
```

***

Record 5
Theoretical powder X-ray diffraction pattern
Compound: Ta2SnO6
Radiation: CuKα
Structure: a cell relaxed with GGA-PBE

Main lines, sorted by position (2θ = 15–90°):
| 2theta | I/Imax |
| --- | --- |
| 24.7 | 34 |
| 28.4 | 96 |
| 28.8 | 100 |
| 30.8 | 47 |
| 36.5 | 24 |
| 48.5 | 30 |
| 52.4 | 23 |
| 53.8 | 23 |

Cell and atoms:
```
Ta2SnO6
1.0
8.716 -2.462 0.000
8.716 2.462 0.000
-0.141 0.000 5.620
Ta Sn O
4 2 12
Cartesian
8.646 1.259 2.810
11.472 1.203 0.964
8.716 -1.259 0.000
11.402 -1.203 3.774
5.730 1.328 0.413
5.660 -1.328 3.223
9.548 2.163 1.064
3.193 0.175 2.315
3.123 -0.175 5.126
8.164 0.207 4.305
8.234 -0.207 1.495
10.591 0.291 2.715
10.521 -0.291 5.526
13.165 0.405 1.328
15.620 0.413 5.233
13.095 -0.405 4.138
15.690 -0.413 2.423
9.478 -2.163 3.875
```

***

Record 6
Theoretical powder X-ray diffraction pattern
Compound: BiSbPd2
Radiation: CuKα
Structure: a cell relaxed with GGA-PBE

Main lines, sorted by position (2θ = 15–90°):
| 2theta | I/Imax |
| --- | --- |
| 29.0 | 100 |
| 39.9 | 77 |
| 42.9 | 62 |
| 52.6 | 19 |
| 54.0 | 20 |
| 60.1 | 23 |
| 76.6 | 23 |
| 81.0 | 19 |

Cell and atoms:
```
BiSbPd2
1.0
4.214 0.000 0.000
-2.107 3.649 0.000
0.000 0.000 5.748
Bi Sb Pd
1 1 2
Cartesian
0.000 0.000 0.000
2.107 1.216 2.874
0.000 2.433 1.479
0.000 2.433 4.269
```

***

> Which formula does entry 2 have?

Hg2P4PdO8